Entry 1:
This entry pairs a crystal structure of Ba6Al2Rh4O15 with its calculated X-ray powder pattern. Radiation: Cu Kα. Structure: DFT lattice parameters and positions (PBE).

Cell and atoms:
abc: 14.6330 5.7062 10.2209
angles: 90.00 90.00 90.00
Space group Amm2 (No. 38)
One atom of each set of equivalent atoms:
1 Ba 0.0000 0.0000 0.0000 x2
2 Ba 0.1582 0.0000 0.6646 x4
3 Ba 0.3162 0.0000 0.3166 x4
4 Ba 0.5000 0.0000 0.9916 x2
5 Al 0.3850 0.0000 0.6429 x4
6 Rh 0.0859 0.0000 0.3440 x4
7 Rh 0.2517 0.0000 0.9888 x4
8 O 0.0000 0.2325 0.2608 x4
9 O 0.1671 0.0000 0.1400 x4
10 O 0.1755 0.2489 0.8984 x8
11 O 0.3360 0.2467 0.0731 x8
12 O 0.3664 0.0000 0.8135 x4
13 O 0.5000 0.0000 0.5902 x2

Peak list (12 most intense, 2θ from 10° to 90°, in order of falling intensity)
2theta, d/Å, I_rel, (hkl)
30.6, 2.925, 100.0, 0 1 3
30.3, 2.949, 57.6, 4 1 1
31.4, 2.853, 45.5, 0 2 0
25.6, 3.485, 32.7, 3 1 1
30.0, 2.975, 27.2, 4 0 2
44.0, 2.059, 26.2, 4 2 2
35.6, 2.523, 22.4, 5 1 1
55.3, 1.661, 18.5, 0 3 3
53.8, 1.703, 18.1, 0 0 6
40.7, 2.219, 18.1, 3 2 2
43.2, 2.095, 15.2, 4 0 4
63.6, 1.463, 14.8, 0 2 6

Entry 2:
This entry pairs a crystal structure of KSbO3 with its calculated X-ray powder pattern. Radiation: Cu Kα. Structure: DFT lattice parameters and positions (PBE).

Cell and atoms:
abc: 5.4752 5.4752 18.6373
angles: 90.00 90.00 120.00
Space group R-3 (No. 148, hexagonal axes)
One atom of each set of equivalent atoms:
1 K 0.0000 0.0000 0.1389 x6
2 Sb 0.0000 0.0000 0.3358 x6
3 O 0.0049 0.6022 0.9377 x18

Peak list (12 most intense, 2θ from 10° to 90°, in order of falling intensity)
2theta, d/Å, I_rel, (hkl)
14.3, 6.212, 100.0, 0 0 3
44.1, 2.054, 76.3, 2 -1 6
32.7, 2.738, 70.7, 1 1 0
26.8, 3.323, 67.2, 1 0 4
21.0, 4.226, 59.9, 0 1 2
35.8, 2.505, 39.9, 2 -1 3
55.7, 1.652, 29.2, 1 1 9
19.3, 4.595, 27.3, 1 0 1
58.4, 1.581, 21.8, 3 0 0
42.8, 2.113, 18.6, 0 2 4
28.7, 3.106, 18.5, 0 0 6
54.9, 1.673, 17.9, 3 -1 4

Entry 3:
This entry pairs a crystal structure of Li3Np with its calculated X-ray powder pattern. Radiation: Cu Kα. Structure: DFT lattice parameters and positions (PBE).

Cell and atoms:
abc: 6.4933 6.4933 4.9652
angles: 90.00 90.00 120.00
Space group P6_3/mmc (No. 194)
One atom of each set of equivalent atoms:
1 Li 0.1476 0.2953 0.2500 x6
2 Np 0.3333 0.6667 0.7500 x2

Peak list (12 most intense, 2θ from 10° to 90°, in order of falling intensity)
2theta, d/Å, I_rel, (hkl)
23.9, 3.722, 100.0, 1 0 1
27.5, 3.247, 47.3, 1 1 0
15.8, 5.623, 40.8, 1 0 0
36.7, 2.447, 39.5, 2 0 1
46.5, 1.954, 34.4, 2 1 1
46.0, 1.972, 24.2, 1 1 2
62.4, 1.488, 15.4, 3 1 1
48.6, 1.874, 10.3, 3 0 0
62.0, 1.496, 10.0, 3 0 2
31.8, 2.812, 9.6, 2 0 0
72.4, 1.306, 9.5, 2 1 3
58.1, 1.588, 9.3, 1 0 3

Entry 4:
This entry pairs a crystal structure of GaNi3 with its calculated X-ray powder pattern. Radiation: Cu Kα. Structure: DFT lattice parameters and positions (PBE).

Cell and atoms:
abc: 3.6809 3.6809 6.7164
angles: 90.00 90.00 90.00
Space group I4/mmm (No. 139)
One atom of each set of equivalent atoms:
1 Ga 0.0000 0.0000 0.0000 x2
2 Ni 0.0000 0.0000 0.5000 x2
3 Ni 0.0000 0.5000 0.2500 x4

Peak list (6 most intense, 2θ from 10° to 90°, in order of falling intensity)
2theta, d/Å, I_rel, (hkl)
44.0, 2.057, 100.0, 1 1 2
49.5, 1.840, 34.8, 2 0 0
89.0, 1.100, 23.6, 3 1 2
76.9, 1.240, 17.2, 2 0 4
54.7, 1.679, 12.7, 0 0 4
72.7, 1.301, 10.2, 2 2 0

Entry 5:
This entry pairs a crystal structure of CsMg14SiO16 with its calculated X-ray powder pattern. Radiation: Cu Kα. Structure: DFT lattice parameters and positions (PBE).

Cell and atoms:
abc: 4.6382 8.5273 8.8262
angles: 90.00 90.00 90.00
Space group Pmmm (No. 47)
One atom of each set of equivalent atoms:
1 Cs 0.0000 0.0000 0.0000 x1
2 Mg 0.0000 0.0000 0.5000 x1
3 Mg 0.0000 0.2502 0.2628 x4
4 Mg 0.0000 0.5000 0.5000 x1
5 Mg 0.5000 0.0000 0.2600 x2
6 Mg 0.5000 0.2507 0.5000 x2
7 Mg 0.5000 0.2530 0.0000 x2
8 Mg 0.5000 0.5000 0.2495 x2
9 Si 0.0000 0.5000 0.0000 x1
10 O 0.0000 0.0000 0.2868 x2
11 O 0.0000 0.2615 0.5000 x2
12 O 0.0000 0.3034 0.0000 x2
13 O 0.0000 0.5000 0.2376 x2
14 O 0.5000 0.0000 0.0000 x1
15 O 0.5000 0.0000 0.5000 x1
16 O 0.5000 0.2506 0.2496 x4
17 O 0.5000 0.5000 0.0000 x1
18 O 0.5000 0.5000 0.5000 x1

Peak list (12 most intense, 2θ from 10° to 90°, in order of falling intensity)
2theta, d/Å, I_rel, (hkl)
38.8, 2.319, 100.0, 2 0 0
40.9, 2.207, 80.5, 0 0 4
42.4, 2.132, 72.3, 0 4 0
35.1, 2.558, 60.2, 1 2 2
57.7, 1.599, 52.4, 2 0 4
58.8, 1.570, 49.2, 2 4 0
60.4, 1.533, 45.9, 0 4 4
74.1, 1.279, 42.9, 2 4 4
10.0, 8.826, 33.7, 0 0 1
10.4, 8.527, 25.7, 0 1 0
14.4, 6.133, 20.2, 0 1 1
30.2, 2.957, 19.0, 1 2 1

Entry 6:
This entry pairs a crystal structure of Li2MgZn with its calculated X-ray powder pattern. Radiation: Cu Kα. Structure: DFT lattice parameters and positions (PBE).

Cell and atoms:
abc: 6.5540 6.5540 6.5540
angles: 90.00 90.00 90.00
Space group F-43m (No. 216)
One atom of each set of equivalent atoms:
1 Li 0.0000 0.0000 0.0000 x4
2 Li 0.2500 0.2500 0.2500 x4
3 Mg 0.0000 0.0000 0.5000 x4
4 Zn 0.2500 0.2500 0.7500 x4

Peak list (12 most intense, 2θ from 10° to 90°, in order of falling intensity)
2theta, d/Å, I_rel, (hkl)
23.5, 3.784, 100.0, 1 1 1
38.9, 2.317, 95.7, 2 2 0
45.9, 1.976, 49.0, 3 1 1
70.4, 1.338, 30.4, 4 2 2
27.2, 3.277, 22.4, 2 0 0
61.7, 1.504, 19.1, 3 3 1
56.1, 1.639, 15.7, 4 0 0
75.4, 1.261, 13.6, 5 1 1
88.2, 1.108, 13.6, 5 3 1
83.4, 1.159, 9.2, 4 4 0
63.5, 1.466, 7.6, 4 2 0
48.1, 1.892, 6.2, 2 2 2

Entry 7:
This entry pairs a crystal structure of LiLaMg14O16 with its calculated X-ray powder pattern. Radiation: Cu Kα. Structure: DFT lattice parameters and positions (PBE).

Cell and atoms:
abc: 4.3716 8.6980 8.7029
angles: 90.00 90.00 90.00
Space group Pmmm (No. 47)
One atom of each set of equivalent atoms:
1 Li 0.0000 0.0000 0.0000 x1
2 La 0.0000 0.0000 0.5000 x1
3 Mg 0.0000 0.2548 0.2352 x4
4 Mg 0.0000 0.5000 0.0000 x1
5 Mg 0.0000 0.5000 0.5000 x1
6 Mg 0.5000 0.0000 0.2257 x2
7 Mg 0.5000 0.2461 0.0000 x2
8 Mg 0.5000 0.2672 0.5000 x2
9 Mg 0.5000 0.5000 0.2450 x2
10 O 0.0000 0.0000 0.2324 x2
11 O 0.0000 0.2634 0.0000 x2
12 O 0.0000 0.2699 0.5000 x2
13 O 0.0000 0.5000 0.2489 x2
14 O 0.5000 0.0000 0.0000 x1
15 O 0.5000 0.0000 0.5000 x1
16 O 0.5000 0.2491 0.2519 x4
17 O 0.5000 0.5000 0.0000 x1
18 O 0.5000 0.5000 0.5000 x1

Peak list (12 most intense, 2θ from 10° to 90°, in order of falling intensity)
2theta, d/Å, I_rel, (hkl)
41.5, 2.175, 100.0, 0 4 0
60.0, 1.542, 58.7, 2 4 0
41.3, 2.186, 53.0, 2 0 0
10.2, 8.701, 44.7, 0 0 1
22.8, 3.898, 40.9, 0 2 1
30.8, 2.904, 36.4, 0 0 3
14.4, 6.152, 32.2, 0 1 1
35.7, 2.516, 30.5, 1 2 2
60.2, 1.538, 27.9, 0 4 4
25.0, 3.564, 27.8, 1 1 1
75.6, 1.258, 25.7, 2 4 4
37.2, 2.415, 17.1, 0 2 3

Entry 8:
This entry pairs a crystal structure of Te2MoW2Se2S2 with its calculated X-ray powder pattern. Radiation: Cu Kα. Structure: DFT lattice parameters and positions (PBE).

Cell and atoms:
abc: 3.3514 3.3514 30.9838
angles: 90.00 90.00 120.00
Space group P3m1 (No. 156)
One atom of each set of equivalent atoms:
1 Te 0.0000 0.0000 0.0000 x1
2 Te 0.0000 0.0000 0.1230 x1
3 Mo 0.0000 0.0000 0.8301 x1
4 W 0.6667 0.3333 0.0615 x1
5 W 0.6667 0.3333 0.5988 x1
6 Se 0.0000 0.0000 0.5449 x1
7 Se 0.0000 0.0000 0.6528 x1
8 S 0.6667 0.3333 0.7813 x1
9 S 0.6667 0.3333 0.8790 x1

Peak list (12 most intense, 2θ from 10° to 90°, in order of falling intensity)
2theta, d/Å, I_rel, (hkl)
11.4, 7.746, 100.0, 0 0 4
37.0, 2.427, 49.6, 1 0 7
35.5, 2.530, 43.8, 0 1 6
44.8, 2.021, 37.3, 0 1 11
30.8, 2.902, 28.4, 1 0 0
54.8, 1.675, 24.7, 1 1 0
40.7, 2.219, 22.6, 1 0 9
33.0, 2.718, 19.3, 0 1 4
31.4, 2.853, 16.5, 1 0 2
14.3, 6.197, 16.2, 0 0 5
42.7, 2.118, 14.7, 0 1 10
55.1, 1.666, 12.3, 1 1 2

Entry 9:
This entry pairs a crystal structure of Ba3TbIrRuO9 with its calculated X-ray powder pattern. Radiation: Cu Kα. Structure: DFT lattice parameters and positions (PBE).

Cell and atoms:
abc: 5.9610 5.9610 14.7757
angles: 90.00 90.00 120.00
Space group P6_3mc (No. 186)
One atom of each set of equivalent atoms:
1 Ba 0.0000 0.0000 0.0000 x2
2 Ba 0.3333 0.6667 0.1542 x2
3 Ba 0.3333 0.6667 0.8444 x2
4 Tb 0.0000 0.0000 0.2485 x2
5 Ir 0.3333 0.6667 0.5851 x2
6 Ru 0.3333 0.6667 0.4136 x2
7 O 0.0199 0.5100 0.4992 x6
8 O 0.1756 0.3511 0.6624 x6
9 O 0.1763 0.3526 0.3391 x6

Peak list (12 most intense, 2θ from 10° to 90°, in order of falling intensity)
2theta, d/Å, I_rel, (hkl)
30.0, 2.981, 100.0, 1 1 0
29.7, 3.004, 63.7, 1 0 4
42.7, 2.116, 35.2, 2 0 4
53.1, 1.725, 24.5, 2 1 4
53.2, 1.721, 20.2, 3 0 0
25.0, 3.564, 18.9, 1 0 3
62.3, 1.490, 18.0, 2 2 0
18.2, 4.873, 15.0, 1 0 1
39.4, 2.286, 13.8, 2 0 3
46.5, 1.954, 13.6, 1 0 7
35.0, 2.565, 13.1, 1 0 5
70.5, 1.335, 11.2, 3 1 4

Entry 10:
This entry pairs a crystal structure of Zn5Si2N6 with its calculated X-ray powder pattern. Radiation: Cu Kα. Structure: DFT lattice parameters and positions (PBE).

Cell and atoms:
abc: 11.2626 11.2626 5.6585
angles: 90.00 90.00 90.00
Space group P-4b2 (No. 117)
One atom of each set of equivalent atoms:
1 Zn 0.0000 0.5000 0.0000 x2
2 Zn 0.0000 0.5000 0.5000 x2
3 Zn 0.0602 0.1865 0.0984 x8
4 Zn 0.0978 0.2294 0.5848 x8
5 Si 0.1194 0.7097 0.2535 x8
6 N 0.0258 0.3223 0.3445 x8
7 N 0.1214 0.6214 0.0000 x4
8 N 0.1213 0.8593 0.1614 x8
9 N 0.2125 0.7125 0.5000 x4

Peak list (12 most intense, 2θ from 10° to 90°, in order of falling intensity)
2theta, d/Å, I_rel, (hkl)
32.8, 2.732, 100.0, 4 1 0
25.0, 3.562, 81.7, 3 1 0
28.6, 3.124, 65.5, 3 2 0
40.7, 2.215, 65.1, 3 1 2
35.5, 2.528, 62.0, 2 0 2
51.9, 1.761, 61.6, 4 3 2
36.4, 2.467, 59.8, 2 1 2
22.3, 3.990, 58.0, 2 0 1
35.6, 2.519, 54.2, 4 2 0
51.3, 1.781, 37.2, 6 2 0
23.6, 3.762, 31.5, 2 1 1
46.2, 1.963, 29.6, 5 2 1

Entry 11:
This entry pairs a crystal structure of Mg6SiCO8 with its calculated X-ray powder pattern. Radiation: Cu Kα. Structure: DFT lattice parameters and positions (PBE).

Cell and atoms:
abc: 4.1521 4.1521 8.9079
angles: 90.00 90.00 90.00
Space group P4/mmm (No. 123)
One atom of each set of equivalent atoms:
1 Mg 0.0000 0.0000 0.0000 x1
2 Mg 0.0000 0.0000 0.5000 x1
3 Mg 0.0000 0.5000 0.2297 x4
4 Si 0.5000 0.5000 0.5000 x1
5 C 0.5000 0.5000 0.0000 x1
6 O 0.0000 0.0000 0.2476 x2
7 O 0.0000 0.5000 0.0000 x2
8 O 0.0000 0.5000 0.5000 x2
9 O 0.5000 0.5000 0.3108 x2

Peak list (12 most intense, 2θ from 10° to 90°, in order of falling intensity)
2theta, d/Å, I_rel, (hkl)
43.6, 2.076, 100.0, 2 0 0
40.5, 2.227, 47.4, 0 0 4
61.0, 1.519, 47.4, 2 0 4
63.4, 1.468, 27.4, 2 2 0
78.0, 1.226, 20.7, 2 2 4
36.7, 2.451, 15.0, 1 1 2
23.6, 3.763, 10.4, 1 0 1
32.1, 2.788, 8.8, 1 1 1
60.8, 1.523, 7.8, 1 1 5
75.5, 1.259, 6.6, 3 1 2
71.2, 1.325, 4.6, 1 1 6
43.3, 2.088, 4.4, 1 1 3